1.
# Nd2Tm2Mg
Theoretical powder X-ray diffraction pattern, λ = 1.5418 Å (Cu Kα). Input: the PBE geometry in Alexandria.
Kinematic intensities with the Lorentz-polarization factor, no thermal factor.

Cell and atoms:
```
Nd2Tm2Mg
1.0
9.0822 -3.0658 0.0000
9.0822 3.0658 0.0000
0.0000 0.0000 5.5837
Nd Tm Mg
4 4 2
Direct
0.0904 0.7161 0.7500
0.2839 0.9096 0.7500
0.7161 0.0904 0.2500
0.9096 0.2839 0.2500
0.1292 0.4593 0.2500
0.4593 0.1292 0.7500
0.5407 0.8708 0.2500
0.8708 0.5407 0.7500
0.3287 0.6713 0.2500
0.6713 0.3287 0.7500
```

Principal peaks in the range 10 to 80 degrees two-theta, in order of rising 2θ:
2θ (°)  I (rel.)
28.56  19
29.13  15
32.06  34
32.84  100
33.34  40
43.46  12
51.29  17
57.64  20
61.63  12
61.78  19


2.
# Nd3Tm2Mg3
Theoretical powder X-ray diffraction pattern, λ = 1.5418 Å (Cu Kα). Input: the PBE geometry in Alexandria.
Kinematic intensities with the Lorentz-polarization factor, no thermal factor.

Cell and atoms:
```
Nd3Tm2Mg3
1.0
-1.8892 2.7714 11.2987
1.8892 -2.7714 11.2987
1.8892 2.7714 -11.2987
Nd Tm Mg
3 2 3
Direct
0.0000 0.0000 0.0000
0.3732 0.8732 0.5000
0.6268 0.1268 0.5000
0.2364 0.2364 0.0000
0.7636 0.7636 0.0000
0.1203 0.6203 0.5000
0.5000 0.5000 0.0000
0.8797 0.3797 0.5000
```

Principal peaks in the range 10 to 80 degrees two-theta, in order of rising 2θ:
2θ (°)  I (rel.)
19.89  11
23.88  16
25.43  23
31.68  24
32.30  27
32.77  100
45.87  17
57.12  14
57.91  20
68.70  10


3.
# NdTmMg6
Theoretical powder X-ray diffraction pattern, λ = 1.5418 Å (Cu Kα). Input: the PBE geometry in Alexandria.
Kinematic intensities with the Lorentz-polarization factor, no thermal factor.

Cell and atoms:
```
NdTmMg6
1.0
5.2119 0.0000 0.0000
0.0000 3.3600 5.8169
0.0000 -3.3600 5.8169
Nd Tm Mg
1 1 6
Direct
0.0000 0.0000 0.0000
0.5000 0.6675 0.6675
0.0000 0.0043 0.4979
0.0000 0.4979 0.0043
0.0000 0.4989 0.4989
0.5000 0.1719 0.1719
0.5000 0.1731 0.6561
0.5000 0.6561 0.1731
```

Principal peaks in the range 10 to 80 degrees two-theta, in order of rising 2θ:
2θ (°)  I (rel.)
15.23  38
22.91  95
26.53  44
30.73  24
34.41  24
35.33  100
43.98  23
44.73  31
46.82  25
54.63  26


4.
# Nd5Tm4Mg2
Theoretical powder X-ray diffraction pattern, λ = 1.5418 Å (Cu Kα). Input: the PBE geometry in Alexandria.
Kinematic intensities with the Lorentz-polarization factor, no thermal factor.

Cell and atoms:
```
Nd5Tm4Mg2
1.0
9.0288 0.0000 0.0000
0.0000 21.2617 0.0000
0.0000 0.0000 3.6142
Nd Tm Mg
10 8 4
Direct
0.0000 0.0000 0.0000
0.1289 0.4361 0.0000
0.2450 0.2170 0.0000
0.2550 0.7170 0.0000
0.3711 0.9361 0.0000
0.5000 0.5000 0.0000
0.6289 0.0639 0.0000
0.7450 0.2830 0.0000
0.7550 0.7830 0.0000
0.8711 0.5639 0.0000
0.0712 0.8512 0.5000
0.2172 0.5767 0.5000
0.2828 0.0767 0.5000
0.4288 0.3512 0.5000
0.5712 0.6488 0.5000
0.7172 0.9233 0.5000
0.7828 0.4233 0.5000
0.9288 0.1488 0.5000
0.0422 0.3104 0.5000
0.4578 0.8104 0.5000
0.5422 0.1896 0.5000
0.9578 0.6896 0.5000
```

Principal peaks in the range 10 to 80 degrees two-theta, in order of rising 2θ:
2θ (°)  I (rel.)
29.93  69
30.88  51
31.07  38
31.53  100
32.11  38
32.84  59
34.21  28
35.20  21
50.51  21
50.84  21